Diffraction record for Nd2Ti2O7. The powder diffraction line list is computed, not measured: it uses a cell relaxed with GGA-PBE and Cu Ka.
Intensities are scaled so that the largest is 100.

Most intense lines, 2θ = 10–80°, sorted by position:
21.01 deg, intensity 50
27.16 deg, intensity 51
28.46 deg, intensity 28
30.07 deg, intensity 100
31.69 deg, intensity 27
32.41 deg, intensity 35
33.09 deg, intensity 56
33.33 deg, intensity 19
42.77 deg, intensity 24
47.19 deg, intensity 44

Cell and atoms:
```
data_Nd2Ti2O7
_chemical_formula_sum 'Nd8 Ti8 O28'
_cell_length_a 7.7023
_cell_length_b 5.5243
_cell_length_c 13.2846
_cell_angle_alpha 90.00
_cell_angle_beta 98.44
_cell_angle_gamma 90.00
_space_group_name_H-M_alt 'P 1 21 1'
_space_group_IT_number 4
_space_group_name_Hall 'P 2yb'
loop_
_atom_site_label
_atom_site_type_symbol
_atom_site_fract_x
_atom_site_fract_y
_atom_site_fract_z
Nd1 Nd 0.1452 0.0000 0.0694
Nd2 Nd 0.2305 0.3980 0.4147
Nd3 Nd 0.2823 0.8845 0.6240
Nd4 Nd 0.3510 0.4271 0.8820
Ti1 Ti 0.0315 0.4026 0.6213
Ti2 Ti 0.0704 0.9290 0.8203
Ti3 Ti 0.4144 0.4381 0.1738
Ti4 Ti 0.4711 0.9007 0.3758
O1 O 0.0199 0.0801 0.6821
O2 O 0.0468 0.6582 0.5216
O3 O 0.0766 0.1974 0.9054
O4 O 0.1190 0.5939 0.7290
O5 O 0.1314 0.7123 0.9283
O6 O 0.1736 0.3333 0.1924
O7 O 0.2221 0.9573 0.3886
O8 O 0.2730 0.3046 0.5925
O9 O 0.3277 0.9969 0.8060
O10 O 0.3718 0.7230 0.1132
O11 O 0.4102 0.2299 0.0584
O12 O 0.4304 0.5770 0.3196
O13 O 0.4648 0.6570 0.5235
O14 O 0.4948 0.5904 0.7318
```